No. 1
Theoretical X-ray powder pattern of PuPa2Te3 for copper Kα, from a GGA-PBE-relaxed structure.
Intensities are scaled so that the largest is 100.

Atomic structure:
```
data_PuPa2Te3
_space_group_name_H-M_alt 'P 1 21/c 1'
_space_group_IT_number 14
_space_group_name_Hall '-P 2ybc'
_cell_length_a 6.2039
_cell_length_b 12.6338
_cell_length_c 9.0057
_cell_angle_alpha 90.00
_cell_angle_beta 94.73
_cell_angle_gamma 90.00
loop_
_atom_site_label
_atom_site_type_symbol
_atom_site_fract_x
_atom_site_fract_y
_atom_site_fract_z
Pu1 Pu 0.2368 0.0860 0.1143
Pa1 Pa 0.2090 0.0792 0.6040
Pa2 Pa 0.2144 0.7427 0.1085
Te1 Te 0.2579 0.5822 0.3677
Te2 Te 0.2791 0.2476 0.8630
Te3 Te 0.2821 0.5849 0.8564
```

Peak list (6 most intense, 2θ from 10° to 80°, most intense first)
Position (°2θ)  I (rel.)  hkl
29.1  100  0 3 2
40.2  59  2 3 -2
28.9  46  2 0 0
42.7  29  2 3 2
43.0  18  0 6 0
52.6  17  2 6 0

---

No. 2
Theoretical X-ray powder pattern of PrSmEr2 for copper Kα, from a GGA-PBE-relaxed structure.
Intensities are scaled so that the largest is 100.

Atomic structure:
```
data_PrSmEr2
_space_group_name_H-M_alt 'R -3 m'
_space_group_IT_number 166
_space_group_name_Hall '-R 3 2"'
_cell_length_a 3.5944
_cell_length_b 3.5944
_cell_length_c 34.8490
_cell_angle_alpha 90.00
_cell_angle_beta 90.00
_cell_angle_gamma 120.00
loop_
_atom_site_label
_atom_site_type_symbol
_atom_site_fract_x
_atom_site_fract_y
_atom_site_fract_z
Pr1 Pr 0.0000 0.0000 0.0000
Sm1 Sm 0.0000 0.0000 0.5000
Er1 Er 0.0000 0.0000 0.2492
```

Peak list (6 most intense, 2θ from 10° to 80°, most intense first)
Position (°2θ)  I (rel.)  hkl
30.5  100  1 0 4
35.4  67  0 1 8
30.8  32  0 0 12
60.6  28  1 1 12
50.8  24  1 1 0
51.2  24  1 0 16